# 1
Bi2Te2Pd3: simulated X-ray powder pattern (CuKα), based on a GGA-PBE-relaxed structure.

Atomic structure:
Cell: 6.746 7.375 7.169 Å, 90.00 104.68 90.00°
Fractional coordinates of all 14 atoms:
Bi 0.135 0.158 0.378
Bi 0.135 0.342 0.878
Bi 0.865 0.658 0.122
Bi 0.865 0.842 0.622
Te 0.364 0.668 0.603
Te 0.364 0.832 0.103
Te 0.636 0.168 0.897
Te 0.636 0.332 0.397
Pd 0.000 0.000 0.000
Pd 0.000 0.500 0.500
Pd 0.273 0.513 0.239
Pd 0.273 0.987 0.739
Pd 0.727 0.013 0.261
Pd 0.727 0.487 0.761

Most intense lines, 10° ≤ 2θ ≤ 80°, low angle first:
2θ/deg  d_spacing  Rel. int.
28.44  3.138  65.1
29.16  3.063  67.0
29.94  2.984  58.5
39.85  2.262  36.5
40.94  2.205  33.7
42.52  2.126  100.0

***

# 2
Th4Tl5Ag2: simulated X-ray powder pattern (CuKα), based on a GGA-PBE-relaxed structure.

Atomic structure:
Cell: 8.312 3.391 10.702 Å, 90.00 93.96 90.00°
Fractional coordinates of all 11 atoms:
Th 0.167 0.000 0.379
Th 0.267 0.000 0.943
Th 0.733 0.000 0.057
Th 0.833 0.000 0.621
Tl 0.190 0.500 0.664
Tl 0.432 0.500 0.199
Tl 0.500 0.500 0.500
Tl 0.568 0.500 0.801
Tl 0.810 0.500 0.336
Ag 0.056 0.500 0.131
Ag 0.944 0.500 0.869

Most intense lines, 10° ≤ 2θ ≤ 80°, low angle first:
2θ/deg  d_spacing  Rel. int.
32.71  2.737  100.0
32.91  2.722  95.0
33.50  2.675  92.9
34.32  2.613  99.7
34.58  2.594  92.8
35.56  2.524  80.5

***

# 3
Sm8Co2Sn: simulated X-ray powder pattern (CuKα), based on a GGA-PBE-relaxed structure.

Atomic structure:
Cell: 8.047 8.047 5.392 Å, 97.15 97.15 114.27°
Fractional coordinates of all 11 atoms:
Sm 0.108 0.108 0.801
Sm 0.173 0.429 0.436
Sm 0.249 0.751 0.000
Sm 0.429 0.173 0.436
Sm 0.571 0.827 0.564
Sm 0.751 0.249 0.000
Sm 0.827 0.571 0.564
Sm 0.892 0.892 0.199
Co 0.198 0.802 0.500
Co 0.802 0.198 0.500
Sn 0.500 0.500 0.000

Most intense lines, 10° ≤ 2θ ≤ 80°, low angle first:
2θ/deg  d_spacing  Rel. int.
29.93  2.985  74.3
31.48  2.841  100.0
32.97  2.717  61.9
33.89  2.645  77.2
34.02  2.636  43.6
52.50  1.743  31.9

***

# 4
PmPr14Er: simulated X-ray powder pattern (CuKα), based on a GGA-PBE-relaxed structure.

Atomic structure:
Cell: 7.389 7.389 10.464 Å, 90.00 90.00 90.00°
Fractional coordinates of all 16 atoms:
Pm 0.000 0.000 0.000
Pr 0.000 0.000 0.500
Pr 0.000 0.500 0.000
Pr 0.000 0.500 0.500
Pr 0.251 0.251 0.248
Pr 0.251 0.251 0.752
Pr 0.251 0.749 0.248
Pr 0.251 0.749 0.752
Pr 0.500 0.000 0.000
Pr 0.500 0.000 0.500
Pr 0.500 0.500 0.500
Pr 0.749 0.251 0.248
Pr 0.749 0.251 0.752
Pr 0.749 0.749 0.248
Pr 0.749 0.749 0.752
Er 0.500 0.500 0.000

Most intense lines, 10° ≤ 2θ ≤ 80°, low angle first:
2θ/deg  d_spacing  Rel. int.
29.60  3.018  100.0
34.31  2.614  50.7
49.31  1.848  36.4
58.57  1.576  43.4
61.45  1.509  12.5
79.99  1.199  11.7

***

# 5
SiP2RuN: simulated X-ray powder pattern (CuKα), based on a GGA-PBE-relaxed structure.

Atomic structure:
Cell: 4.401 4.401 6.295 Å, 96.90 96.90 37.55°
Fractional coordinates of all 5 atoms:
Si 0.000 0.000 0.000
P 0.696 0.696 0.407
P 0.757 0.757 0.770
Ru 0.976 0.976 0.356
N 0.594 0.594 0.902

Most intense lines, 10° ≤ 2θ ≤ 80°, low angle first:
2θ/deg  d_spacing  Rel. int.
14.18  6.244  100.0
21.50  4.134  43.9
27.34  3.261  44.7
28.59  3.122  81.9
33.44  2.680  90.2
37.04  2.427  44.2

***

# 6
DySn6Te8: simulated X-ray powder pattern (CuKα), based on a GGA-PBE-relaxed structure.

Atomic structure:
Cell: 10.120 10.120 6.378 Å, 90.00 90.00 120.00°
Fractional coordinates of all 15 atoms:
Dy 0.000 0.000 0.000
Sn 0.075 0.400 0.831
Sn 0.324 0.925 0.831
Sn 0.400 0.324 0.169
Sn 0.600 0.676 0.831
Sn 0.676 0.075 0.169
Sn 0.925 0.600 0.169
Te 0.007 0.263 0.261
Te 0.256 0.993 0.261
Te 0.263 0.256 0.739
Te 0.333 0.667 0.045
Te 0.667 0.333 0.955
Te 0.737 0.744 0.261
Te 0.744 0.007 0.739
Te 0.993 0.737 0.739

Most intense lines, 10° ≤ 2θ ≤ 80°, low angle first:
2θ/deg  d_spacing  Rel. int.
13.88  6.378  53.6
26.91  3.313  24.8
30.41  2.940  100.0
30.60  2.922  60.4
33.21  2.698  71.8
47.41  1.918  40.7

***

# 7
TbErPbSe: simulated X-ray powder pattern (CuKα), based on a GGA-PBE-relaxed structure.

Atomic structure:
Cell: 4.289 4.289 6.022 Å, 90.00 90.00 90.00°
Fractional coordinates of all 4 atoms:
Tb 0.000 0.000 0.000
Er 0.500 0.500 0.500
Pb 0.500 0.500 0.000
Se 0.000 0.000 0.500

Most intense lines, 10° ≤ 2θ ≤ 80°, low angle first:
2θ/deg  d_spacing  Rel. int.
29.45  3.033  100.0
29.67  3.011  49.1
42.14  2.144  38.2
42.30  2.137  75.6
52.38  1.747  40.7
77.13  1.237  26.4

***

# 8
TlSn6Pb2: simulated X-ray powder pattern (CuKα), based on a GGA-PBE-relaxed structure.

Atomic structure:
Cell: 6.571 6.571 6.151 Å, 96.95 96.95 94.17°
Fractional coordinates of all 9 atoms:
Tl 0.000 0.000 0.000
Sn 0.166 0.496 0.825
Sn 0.169 0.831 0.500
Sn 0.496 0.166 0.825
Sn 0.504 0.834 0.175
Sn 0.831 0.169 0.500
Sn 0.834 0.504 0.175
Pb 0.337 0.337 0.322
Pb 0.663 0.663 0.678

Most intense lines, 10° ≤ 2θ ≤ 80°, low angle first:
2θ/deg  d_spacing  Rel. int.
31.87  2.808  55.2
32.36  2.766  100.0
32.79  2.731  48.0
32.96  2.718  50.3
34.28  2.616  45.3
45.36  2.000  21.1

***

# 9
CuTe6Br2: simulated X-ray powder pattern (CuKα), based on a GGA-PBE-relaxed structure.

Atomic structure:
Cell: 9.047 9.047 8.873 Å, 117.37 117.37 69.58°
Fractional coordinates of all 18 atoms:
Cu 0.231 0.769 0.750
Cu 0.769 0.231 0.250
Te 0.015 0.171 0.130
Te 0.047 0.437 0.846
Te 0.171 0.015 0.630
Te 0.299 0.684 0.406
Te 0.316 0.701 0.094
Te 0.437 0.047 0.346
Te 0.563 0.953 0.654
Te 0.684 0.299 0.906
Te 0.701 0.316 0.594
Te 0.829 0.985 0.370
Te 0.953 0.563 0.154
Te 0.985 0.829 0.870
Br 0.245 0.456 0.606
Br 0.456 0.245 0.106
Br 0.544 0.755 0.894
Br 0.755 0.544 0.394

Most intense lines, 10° ≤ 2θ ≤ 80°, low angle first:
2θ/deg  d_spacing  Rel. int.
17.18  5.162  36.5
23.29  3.820  49.3
29.23  3.055  100.0
31.51  2.839  87.8
33.91  2.643  66.0
35.48  2.530  42.0

***

# 10
GaAg8Se6: simulated X-ray powder pattern (CuKα), based on a GGA-PBE-relaxed structure.

Atomic structure:
Cell: 8.094 7.850 10.797 Å, 90.00 90.00 90.00°
Fractional coordinates of all 30 atoms:
Ga 0.000 0.245 0.000
Ga 0.500 0.755 0.500
Ag 0.000 0.784 0.959
Ag 0.000 0.872 0.517
Ag 0.196 0.962 0.748
Ag 0.202 0.401 0.350
Ag 0.220 0.339 0.630
Ag 0.280 0.661 0.130
Ag 0.298 0.599 0.850
Ag 0.304 0.038 0.248
Ag 0.500 0.128 0.017
Ag 0.500 0.216 0.459
Ag 0.696 0.038 0.248
Ag 0.702 0.599 0.850
Ag 0.720 0.661 0.130
Ag 0.780 0.339 0.630
Ag 0.798 0.401 0.350
Ag 0.804 0.962 0.748
Se 0.000 0.004 0.138
Se 0.000 0.209 0.487
Se 0.000 0.489 0.141
Se 0.000 0.686 0.729
Se 0.249 0.251 0.878
Se 0.251 0.749 0.378
Se 0.500 0.314 0.229
Se 0.500 0.511 0.641
Se 0.500 0.791 0.987
Se 0.500 0.996 0.638
Se 0.749 0.749 0.378
Se 0.751 0.251 0.878

Most intense lines, 10° ≤ 2θ ≤ 80°, low angle first:
2θ/deg  d_spacing  Rel. int.
27.55  3.238  100.0
28.11  3.175  69.0
35.16  2.552  66.1
35.28  2.544  65.2
41.96  2.153  60.3
46.60  1.949  83.4

***

# 11
DyHo9Th2: simulated X-ray powder pattern (CuKα), based on a GGA-PBE-relaxed structure.

Atomic structure:
Cell: 5.003 5.003 14.963 Å, 90.00 90.00 90.00°
Fractional coordinates of all 12 atoms:
Dy 0.000 0.000 0.000
Ho 0.000 0.500 0.168
Ho 0.000 0.500 0.500
Ho 0.000 0.500 0.832
Ho 0.500 0.000 0.168
Ho 0.500 0.000 0.500
Ho 0.500 0.000 0.832
Ho 0.500 0.500 0.000
Ho 0.500 0.500 0.333
Ho 0.500 0.500 0.667
Th 0.000 0.000 0.334
Th 0.000 0.000 0.666

Most intense lines, 10° ≤ 2θ ≤ 80°, low angle first:
2θ/deg  d_spacing  Rel. int.
30.99  2.886  100.0
35.90  2.502  33.9
36.01  2.494  16.8
51.73  1.767  36.2
61.49  1.508  28.8
61.64  1.505  14.3

***

# 12
CsCuTe2Au: simulated X-ray powder pattern (CuKα), based on a GGA-PBE-relaxed structure.

Atomic structure:
Cell: 7.232 7.232 7.719 Å, 90.00 90.00 121.86°
Fractional coordinates of all 10 atoms:
Cs 0.250 0.750 0.750
Cs 0.750 0.250 0.250
Cu 0.250 0.250 0.000
Cu 0.750 0.750 0.000
Te 0.094 0.906 0.197
Te 0.406 0.594 0.197
Te 0.594 0.406 0.803
Te 0.906 0.094 0.803
Au 0.000 0.000 0.500
Au 0.500 0.500 0.500

Most intense lines, 10° ≤ 2θ ≤ 80°, low angle first:
2θ/deg  d_spacing  Rel. int.
14.01  6.320  44.6
25.35  3.514  55.8
27.07  3.294  38.6
27.25  3.273  100.0
31.35  2.854  28.4
40.11  2.248  27.7

***

# 13
Cu6Pd5: simulated X-ray powder pattern (CuKα), based on a GGA-PBE-relaxed structure.

Atomic structure:
Cell: 6.332 6.332 4.553 Å, 104.95 104.95 108.37°
Fractional coordinates of all 11 atoms:
Cu 0.053 0.314 0.131
Cu 0.189 0.189 0.637
Cu 0.314 0.053 0.131
Cu 0.686 0.947 0.869
Cu 0.811 0.811 0.363
Cu 0.947 0.686 0.869
Pd 0.217 0.783 0.500
Pd 0.358 0.642 0.000
Pd 0.500 0.500 0.500
Pd 0.642 0.358 0.000
Pd 0.783 0.217 0.500

Most intense lines, 10° ≤ 2θ ≤ 80°, low angle first:
2θ/deg  d_spacing  Rel. int.
40.36  2.235  100.0
41.54  2.174  69.5
41.67  2.167  33.0
44.10  2.053  25.9
45.47  1.995  54.4
72.36  1.306  17.2